1.
Starting from a cell relaxed with PBE, the powder diffraction line list of Tc3Au was calculated for λ = 1.5418 Å (Cu Kα).

```
data_Tc3Au
_chemical_formula_sum 'Tc6 Au2'
_symmetry_space_group_name_H-M 'I 4/m m m'
_symmetry_Int_Tables_number 139
_symmetry_space_group_name_Hall '-I 4 2'
_cell_length_a 3.930
_cell_length_b 3.930
_cell_length_c 7.853
_cell_angle_alpha 90.00
_cell_angle_beta 90.00
_cell_angle_gamma 90.00
loop_
_atom_site_label
_atom_site_type_symbol
_atom_site_fract_x
_atom_site_fract_y
_atom_site_fract_z
_atom_site_occupancy
Tc1 Tc 0.000 0.000 0.000 1
Tc2 Tc 0.000 0.500 0.250 1
Au1 Au 0.000 0.000 0.500 1
```

Peak list (10 most intense, 2θ = 15–90°, by angle)
- 2θ 22.65, I 4, (0 0 2)
- 2θ 25.34, I 12, (1 0 1)
- 2θ 32.21, I 3, (1 1 0)
- 2θ 39.74, I 100, (1 1 2)
- 2θ 41.45, I 3, (1 0 3)
- 2θ 46.21, I 49, (2 0 0)
- 2θ 53.42, I 3, (2 1 1)
- 2θ 67.42, I 31, (2 2 0)
- 2θ 81.20, I 37, (3 1 2)
- 2θ 85.64, I 11, (2 2 4)

---

2.
Starting from a cell relaxed with PBE, the powder diffraction line list of TcAu3 was calculated for λ = 1.5418 Å (Cu Kα).

```
data_TcAu3
_chemical_formula_sum 'Tc4 Au12'
_symmetry_space_group_name_H-M 'P n m a'
_symmetry_Int_Tables_number 62
_symmetry_space_group_name_Hall '-P 2ac 2n'
_cell_length_a 4.838
_cell_length_b 9.633
_cell_length_c 5.897
_cell_angle_alpha 90.00
_cell_angle_beta 90.00
_cell_angle_gamma 90.00
loop_
_atom_site_label
_atom_site_type_symbol
_atom_site_fract_x
_atom_site_fract_y
_atom_site_fract_z
_atom_site_occupancy
Tc1 Tc 0.072 0.250 0.149 1
Au1 Au 0.069 0.250 0.629 1
Au2 Au 0.243 0.503 0.878 1
```

Peak list (10 most intense, 2θ = 15–90°, by angle)
- 2θ 35.66, I 20, (1 0 2)
- 2θ 36.90, I 34, (1 1 2)
- 2θ 37.34, I 55, (0 4 0)
- 2θ 40.42, I 100, (1 2 2)
- 2θ 41.79, I 57, (2 2 0)
- 2θ 45.80, I 18, (1 3 2)
- 2θ 66.04, I 20, (3 0 2)
- 2θ 69.43, I 20, (1 6 2)
- 2θ 78.39, I 25, (3 4 2)
- 2θ 78.54, I 18, (2 2 4)

---

3.
Starting from a cell relaxed with PBE, the powder diffraction line list of Tc3Au was calculated for λ = 1.5418 Å (Cu Kα).

```
data_Tc3Au
_chemical_formula_sum 'Tc3 Au1'
_symmetry_space_group_name_H-M 'P -6 m 2'
_symmetry_Int_Tables_number 187
_symmetry_space_group_name_Hall 'P -6 2'
_cell_length_a 2.7906
_cell_length_b 2.7906
_cell_length_c 9.1063
_cell_angle_alpha 90.00
_cell_angle_beta 90.00
_cell_angle_gamma 120.00
loop_
_atom_site_label
_atom_site_type_symbol
_atom_site_fract_x
_atom_site_fract_y
_atom_site_fract_z
_atom_site_occupancy
Tc1 Tc 0.0000 0.0000 0.0000 1
Tc2 Tc 0.3333 0.6667 0.2338 1
Au1 Au 0.0000 0.0000 0.5000 1
```

Peak list (10 most intense, 2θ = 15–90°, by angle)
- 2θ 19.50, I 6, (0 0 2)
- 2θ 37.20, I 27, (1 0 0)
- 2θ 38.54, I 8, (1 0 1)
- 2θ 39.59, I 25, (0 0 4)
- 2θ 42.34, I 100, (1 0 2)
- 2θ 55.45, I 17, (1 0 4)
- 2θ 67.08, I 17, (1 1 0)
- 2θ 73.71, I 17, (1 0 6)
- 2θ 80.79, I 19, (1 1 4)
- 2θ 82.61, I 14, (2 0 2)

---

4.
Starting from a cell relaxed with PBE, the powder diffraction line list of Tc5Au was calculated for λ = 1.5418 Å (Cu Kα).

```
data_Tc5Au
_chemical_formula_sum 'Tc10 Au2'
_symmetry_space_group_name_H-M 'C 1 m 1'
_symmetry_Int_Tables_number 8
_symmetry_space_group_name_Hall 'C -2y'
_cell_length_a 10.085
_cell_length_b 2.799
_cell_length_c 6.574
_cell_angle_alpha 90.00
_cell_angle_beta 104.19
_cell_angle_gamma 90.00
loop_
_atom_site_label
_atom_site_type_symbol
_atom_site_fract_x
_atom_site_fract_y
_atom_site_fract_z
_atom_site_occupancy
Tc1 Tc 0.000 0.000 0.000 1
Tc2 Tc 0.051 0.000 0.594 1
Tc3 Tc 0.161 0.500 0.315 1
Tc4 Tc 0.212 0.500 0.940 1
Tc5 Tc 0.387 0.000 0.262 1
Au1 Au 0.330 0.000 0.659 1
```

Peak list (10 most intense, 2θ = 15–90°, by angle)
- 2θ 37.14, I 19, (1 1 1)
- 2θ 37.27, I 11, (2 0 2)
- 2θ 40.64, I 30, (4 0 -2)
- 2θ 42.54, I 100, (3 1 0)
- 2θ 42.74, I 19, (4 0 1)
- 2θ 56.15, I 9, (2 0 -4)
- 2θ 67.12, I 13, (3 1 3)
- 2θ 75.15, I 11, (5 1 -4)
- 2θ 81.29, I 15, (4 2 -2)
- 2θ 81.70, I 8, (7 1 1)